Structure and theoretical powder diffraction line list of Cs2NpBr4F2 (a GGA-PBE-relaxed structure; a wavelength of 1.5418 Å).
Lines closer than 0.1° are merged.

Cell and atoms:
```
data_Cs2NpBr4F2
_chemical_formula_sum 'Cs2 Np1 Br4 F2'
_symmetry_space_group_name_H-M 'P 1'
_symmetry_Int_Tables_number 1
_cell_length_a 7.5632
_cell_length_b 7.5632
_cell_length_c 6.2479
_cell_angle_alpha 99.57
_cell_angle_beta 99.57
_cell_angle_gamma 66.09
loop_
_symmetry_equiv_pos_as_xyz
'x,y,z'
loop_
_atom_site_label
_atom_site_type_symbol
_atom_site_fract_x
_atom_site_fract_y
_atom_site_fract_z
_atom_site_occupancy
Cs1 Cs 0.1691 0.1691 0.3253 1
Cs2 Cs 0.8309 0.8309 0.6747 1
Np1 Np 0.5000 0.5000 0.0000 1
Br1 Br 0.1513 0.6495 0.1999 1
Br2 Br 0.3505 0.8487 0.8001 1
Br3 Br 0.6495 0.1513 0.1999 1
Br4 Br 0.8487 0.3505 0.8001 1
F1 F 0.3689 0.3689 0.7408 1
F2 F 0.6311 0.6311 0.2592 1
```

Top 10 peaks for 2θ from 5° to 70°, most intense first:
d 3.148, 2θ 28.4, I 100
d 4.342, 2θ 20.5, I 73
d 3.702, 2θ 24.0, I 49
d 2.062, 2θ 43.9, I 28
d 2.421, 2θ 37.1, I 28
d 2.918, 2θ 30.6, I 27
d 2.437, 2θ 36.9, I 24
d 3.985, 2θ 22.3, I 21
d 1.851, 2θ 49.2, I 20
d 1.829, 2θ 49.8, I 19